1.
Diffraction record for Sr8Hg. The PXRD pattern is simulated, not measured: it uses a structure optimized by DFT (PBE) and Cu Kα.

a = 10.087 Å, b = 10.087 Å, c = 10.087 Å
α = 92.87°, β = 92.87°, γ = 154.14°
Fractional positions:
Sr (0.000, 0.335, 0.335)
Sr (0.000, 0.665, 0.665)
Sr (0.335, 0.000, 0.335)
Sr (0.353, 0.353, 0.706)
Sr (0.353, 0.647, 0.000)
Sr (0.647, 0.353, 0.000)
Sr (0.647, 0.647, 0.294)
Sr (0.665, 0.000, 0.665)
Hg (0.000, 0.000, 0.000)

Principal peaks in the range 10 to 80 degrees two-theta, most intense first:
two_theta, d/Å, I/Imax
27.58, 3.234, 1000
27.21, 3.277, 492
48.32, 1.884, 348
49.01, 1.859, 194
38.86, 2.317, 171
12.73, 6.952, 139
56.95, 1.617, 111
78.57, 1.218, 106
65.19, 1.431, 101
39.94, 2.257, 98

=====

2.
Diffraction record for Ce2BiF. The PXRD pattern is simulated, not measured: it uses a structure optimized by DFT (PBE) and Cu Kα.

a = 8.193 Å, b = 6.502 Å, c = 8.162 Å
α = 90.00°, β = 101.22°, γ = 90.00°
Fractional positions:
Ce (0.045, 0.131, 0.332)
Ce (0.045, 0.369, 0.832)
Ce (0.339, 0.662, 0.517)
Ce (0.339, 0.838, 0.017)
Ce (0.661, 0.162, 0.983)
Ce (0.661, 0.338, 0.483)
Ce (0.955, 0.631, 0.168)
Ce (0.955, 0.869, 0.668)
Bi (0.332, 0.143, 0.666)
Bi (0.332, 0.357, 0.166)
Bi (0.668, 0.643, 0.834)
Bi (0.668, 0.857, 0.334)
F (0.209, 0.658, 0.758)
F (0.209, 0.842, 0.258)
F (0.791, 0.158, 0.742)
F (0.791, 0.342, 0.242)

Principal peaks in the range 10 to 80 degrees two-theta, most intense first:
two_theta, d/Å, I/Imax
30.93, 2.891, 1000
30.11, 2.968, 770
38.65, 2.330, 463
31.48, 2.842, 460
33.45, 2.679, 420
36.39, 2.469, 326
28.24, 3.160, 323
46.73, 1.944, 259
26.74, 3.333, 246
54.54, 1.682, 224

=====

3.
Diffraction record for Pm2NdTc. The PXRD pattern is simulated, not measured: it uses a structure optimized by DFT (PBE) and Cu Kα.

a = 7.505 Å, b = 9.560 Å, c = 6.506 Å
α = 90.00°, β = 90.00°, γ = 90.00°
Fractional positions:
Pm (0.176, 0.066, 0.166)
Pm (0.176, 0.434, 0.166)
Pm (0.324, 0.566, 0.666)
Pm (0.324, 0.934, 0.666)
Pm (0.676, 0.066, 0.334)
Pm (0.676, 0.434, 0.334)
Pm (0.824, 0.566, 0.834)
Pm (0.824, 0.934, 0.834)
Nd (0.047, 0.250, 0.633)
Nd (0.453, 0.750, 0.133)
Nd (0.547, 0.250, 0.867)
Nd (0.953, 0.750, 0.367)
Tc (0.110, 0.750, 0.960)
Tc (0.390, 0.250, 0.460)
Tc (0.610, 0.750, 0.540)
Tc (0.890, 0.250, 0.040)

Principal peaks in the range 10 to 80 degrees two-theta, most intense first:
two_theta, d/Å, I/Imax
33.33, 2.688, 1000
31.25, 2.862, 966
31.40, 2.849, 900
33.51, 2.674, 723
30.28, 2.952, 679
29.94, 2.985, 602
29.01, 3.077, 480
47.61, 1.910, 383
54.50, 1.684, 367
37.01, 2.429, 345

=====

4.
Diffraction record for TiCrNi14. The PXRD pattern is simulated, not measured: it uses a structure optimized by DFT (PBE) and Cu Kα.

a = 5.021 Å, b = 5.021 Å, c = 7.070 Å
α = 90.00°, β = 90.00°, γ = 90.00°
Fractional positions:
Ti (0.000, 0.000, 0.000)
Cr (0.500, 0.500, 0.000)
Ni (0.000, 0.000, 0.500)
Ni (0.000, 0.500, 0.000)
Ni (0.000, 0.500, 0.500)
Ni (0.252, 0.252, 0.252)
Ni (0.252, 0.252, 0.748)
Ni (0.252, 0.748, 0.252)
Ni (0.252, 0.748, 0.748)
Ni (0.500, 0.000, 0.000)
Ni (0.500, 0.000, 0.500)
Ni (0.500, 0.500, 0.500)
Ni (0.748, 0.252, 0.252)
Ni (0.748, 0.252, 0.748)
Ni (0.748, 0.748, 0.252)
Ni (0.748, 0.748, 0.748)

Principal peaks in the range 10 to 80 degrees two-theta, most intense first:
two_theta, d/Å, I/Imax
44.25, 2.047, 1000
51.48, 1.775, 310
75.97, 1.253, 177
51.71, 1.768, 153
75.79, 1.255, 89
12.52, 7.070, 6

=====

5.
Diffraction record for Rb5TlO. The PXRD pattern is simulated, not measured: it uses a structure optimized by DFT (PBE) and Cu Kα.

a = 8.915 Å, b = 8.915 Å, c = 11.714 Å
α = 109.12°, β = 109.12°, γ = 57.36°
Fractional positions:
Rb (0.003, 0.997, 0.750)
Rb (0.100, 0.639, 0.433)
Rb (0.110, 0.636, 0.938)
Rb (0.361, 0.900, 0.067)
Rb (0.364, 0.890, 0.562)
Rb (0.636, 0.110, 0.438)
Rb (0.639, 0.100, 0.933)
Rb (0.890, 0.364, 0.062)
Rb (0.900, 0.361, 0.567)
Rb (0.997, 0.003, 0.250)
Tl (0.499, 0.501, 0.750)
Tl (0.501, 0.499, 0.250)
O (0.000, 0.000, 0.000)
O (0.000, 0.000, 0.500)

Principal peaks in the range 10 to 80 degrees two-theta, most intense first:
two_theta, d/Å, I/Imax
26.52, 3.361, 1000
23.86, 3.730, 721
12.20, 7.256, 489
32.35, 2.767, 485
30.52, 2.929, 292
24.15, 3.686, 252
34.49, 2.600, 234
45.06, 2.012, 192
45.10, 2.010, 190
49.09, 1.856, 188

=====

6.
Diffraction record for Ga4Cu15Si. The PXRD pattern is simulated, not measured: it uses a structure optimized by DFT (PBE) and Cu Kα.

a = 3.673 Å, b = 3.673 Å, c = 18.572 Å
α = 90.00°, β = 90.00°, γ = 90.00°
Fractional positions:
Ga (0.000, 0.000, 0.101)
Ga (0.000, 0.000, 0.303)
Ga (0.000, 0.000, 0.697)
Ga (0.000, 0.000, 0.899)
Cu (0.000, 0.500, 0.000)
Cu (0.000, 0.500, 0.202)
Cu (0.000, 0.500, 0.404)
Cu (0.000, 0.500, 0.596)
Cu (0.000, 0.500, 0.798)
Cu (0.500, 0.000, 0.000)
Cu (0.500, 0.000, 0.202)
Cu (0.500, 0.000, 0.404)
Cu (0.500, 0.000, 0.596)
Cu (0.500, 0.000, 0.798)
Cu (0.500, 0.500, 0.101)
Cu (0.500, 0.500, 0.303)
Cu (0.500, 0.500, 0.500)
Cu (0.500, 0.500, 0.697)
Cu (0.500, 0.500, 0.899)
Si (0.000, 0.000, 0.500)

Principal peaks in the range 10 to 80 degrees two-theta, most intense first:
two_theta, d/Å, I/Imax
42.47, 2.128, 1000
49.64, 1.836, 312
72.37, 1.306, 180
49.05, 1.857, 157
72.84, 1.299, 91
39.77, 2.267, 8

=====

7.
Diffraction record for LaAl11Fe. The PXRD pattern is simulated, not measured: it uses a structure optimized by DFT (PBE) and Cu Kα.

a = 6.826 Å, b = 6.826 Å, c = 7.222 Å
α = 97.23°, β = 97.23°, γ = 135.41°
Fractional positions:
La (0.000, 0.000, 0.000)
Al (0.000, 0.000, 0.500)
Al (0.000, 0.500, 0.000)
Al (0.023, 0.367, 0.364)
Al (0.281, 0.499, 0.763)
Al (0.367, 0.023, 0.364)
Al (0.499, 0.281, 0.763)
Al (0.500, 0.000, 0.000)
Al (0.501, 0.719, 0.237)
Al (0.633, 0.977, 0.636)
Al (0.719, 0.501, 0.237)
Al (0.977, 0.633, 0.636)
Fe (0.500, 0.500, 0.500)

Principal peaks in the range 10 to 80 degrees two-theta, most intense first:
two_theta, d/Å, I/Imax
38.89, 2.316, 1000
40.22, 2.242, 866
39.55, 2.278, 705
19.81, 4.482, 694
14.02, 6.316, 689
33.50, 2.675, 608
38.43, 2.342, 549
26.69, 3.340, 542
28.22, 3.162, 526
40.35, 2.235, 471

=====

8.
Diffraction record for K2CeBeS4. The PXRD pattern is simulated, not measured: it uses a structure optimized by DFT (PBE) and Cu Kα.

a = 7.999 Å, b = 7.999 Å, c = 8.254 Å
α = 109.58°, β = 109.58°, γ = 96.43°
Fractional positions:
K (0.000, 0.000, 0.000)
K (0.000, 0.000, 0.500)
K (0.000, 0.500, 0.000)
K (0.500, 0.000, 0.500)
Ce (0.500, 0.500, 0.000)
Ce (0.500, 0.500, 0.500)
Be (0.000, 0.500, 0.500)
Be (0.500, 0.000, 0.000)
S (0.177, 0.651, 0.459)
S (0.312, 0.314, 0.123)
S (0.314, 0.312, 0.623)
S (0.349, 0.823, 0.041)
S (0.651, 0.177, 0.959)
S (0.686, 0.688, 0.377)
S (0.688, 0.686, 0.877)
S (0.823, 0.349, 0.541)

Principal peaks in the range 10 to 80 degrees two-theta, most intense first:
two_theta, d/Å, I/Imax
12.14, 7.293, 1000
24.96, 3.567, 490
29.96, 2.982, 473
24.40, 3.648, 410
14.85, 5.965, 334
39.38, 2.288, 268
46.04, 1.971, 242
34.10, 2.630, 211
41.89, 2.157, 207
37.37, 2.406, 162

=====

9.
Diffraction record for Nd3HoAl8. The PXRD pattern is simulated, not measured: it uses a structure optimized by DFT (PBE) and Cu Kα.

a = 5.641 Å, b = 5.641 Å, c = 9.294 Å
α = 90.00°, β = 90.00°, γ = 120.00°
Fractional positions:
Nd (0.000, 0.000, 0.000)
Nd (0.000, 0.000, 0.364)
Nd (0.333, 0.667, 0.863)
Ho (0.333, 0.667, 0.499)
Al (0.009, 0.505, 0.183)
Al (0.325, 0.162, 0.678)
Al (0.495, 0.505, 0.183)
Al (0.495, 0.991, 0.183)
Al (0.667, 0.333, 0.432)
Al (0.667, 0.333, 0.929)
Al (0.838, 0.162, 0.678)
Al (0.838, 0.675, 0.678)

Principal peaks in the range 10 to 80 degrees two-theta, most intense first:
two_theta, d/Å, I/Imax
34.27, 2.616, 1000
31.72, 2.821, 735
37.29, 2.411, 665
58.16, 1.586, 422
18.16, 4.886, 385
20.54, 4.324, 323
38.09, 2.363, 317
76.78, 1.241, 192
62.82, 1.479, 191
19.10, 4.647, 185

=====

10.
Diffraction record for BaMg2AgCl8. The PXRD pattern is simulated, not measured: it uses a structure optimized by DFT (PBE) and Cu Kα.

a = 6.335 Å, b = 7.825 Å, c = 6.620 Å
α = 90.00°, β = 93.62°, γ = 90.00°
Fractional positions:
Ba (0.000, 0.000, 0.000)
Mg (0.500, 0.271, 0.500)
Mg (0.500, 0.729, 0.500)
Ag (0.000, 0.500, 0.000)
Cl (0.264, 0.288, 0.161)
Cl (0.264, 0.712, 0.161)
Cl (0.278, 0.500, 0.636)
Cl (0.302, 0.000, 0.636)
Cl (0.698, 0.000, 0.364)
Cl (0.722, 0.500, 0.364)
Cl (0.736, 0.288, 0.839)
Cl (0.736, 0.712, 0.839)

Principal peaks in the range 10 to 80 degrees two-theta, most intense first:
two_theta, d/Å, I/Imax
30.49, 2.932, 1000
18.80, 4.719, 824
38.43, 2.342, 610
20.04, 4.431, 561
29.71, 3.007, 540
26.80, 3.327, 453
13.40, 6.607, 450
47.37, 1.919, 354
39.74, 2.268, 293
14.01, 6.323, 266

=====

11.
Diffraction record for BaLi3Np4S12. The PXRD pattern is simulated, not measured: it uses a structure optimized by DFT (PBE) and Cu Kα.

a = 8.533 Å, b = 8.533 Å, c = 8.533 Å
α = 109.47°, β = 109.47°, γ = 109.47°
Fractional positions:
Ba (0.000, 0.000, 0.000)
Li (0.000, 0.500, 0.500)
Li (0.500, 0.000, 0.500)
Li (0.500, 0.500, 0.000)
Np (0.000, 0.000, 0.500)
Np (0.000, 0.500, 0.000)
Np (0.500, 0.000, 0.000)
Np (0.500, 0.500, 0.500)
S (0.124, 0.301, 0.822)
S (0.178, 0.479, 0.301)
S (0.178, 0.876, 0.699)
S (0.301, 0.178, 0.479)
S (0.301, 0.822, 0.124)
S (0.479, 0.301, 0.178)
S (0.521, 0.699, 0.822)
S (0.699, 0.178, 0.876)
S (0.699, 0.822, 0.521)
S (0.822, 0.124, 0.301)
S (0.822, 0.521, 0.699)
S (0.876, 0.699, 0.178)

Principal peaks in the range 10 to 80 degrees two-theta, most intense first:
two_theta, d/Å, I/Imax
25.57, 3.484, 1000
18.01, 4.927, 889
45.08, 2.011, 655
40.96, 2.203, 501
36.48, 2.463, 330
71.68, 1.317, 279
59.32, 1.558, 232
56.00, 1.642, 186
52.54, 1.742, 186
31.45, 2.844, 149

=====

12.
Diffraction record for SrCaHg3. The PXRD pattern is simulated, not measured: it uses a structure optimized by DFT (PBE) and Cu Kα.

a = 15.075 Å, b = 15.075 Å, c = 4.908 Å
α = 90.00°, β = 90.00°, γ = 164.57°
Fractional positions:
Sr (0.075, 0.925, 0.750)
Sr (0.925, 0.075, 0.250)
Ca (0.208, 0.792, 0.250)
Ca (0.792, 0.208, 0.750)
Hg (0.316, 0.684, 0.250)
Hg (0.376, 0.624, 0.750)
Hg (0.474, 0.526, 0.750)
Hg (0.526, 0.474, 0.250)
Hg (0.624, 0.376, 0.250)
Hg (0.684, 0.316, 0.750)

Principal peaks in the range 10 to 80 degrees two-theta, most intense first:
two_theta, d/Å, I/Imax
29.99, 2.979, 1000
35.17, 2.552, 853
22.17, 4.010, 626
39.63, 2.274, 544
36.62, 2.454, 441
58.19, 1.585, 404
44.79, 2.023, 252
30.44, 2.937, 249
21.67, 4.101, 244
43.23, 2.093, 232